This entry pairs a crystal structure of Na2Tl2Pd with its calculated X-ray diffraction stick pattern. Radiation: λ = 1.5418 Å (Cu Kα). Structure: a structure optimized by DFT (PBE).
Lines closer than 0.1° are merged.

Main lines, in order of falling intensity (10 to 90 degrees two-theta):
Position (°2θ), I (rel.)
17.2, 100
32.6, 95
27.5, 45
43.2, 36
39.3, 35
34.8, 26
44.9, 25
53.5, 25
61.0, 16
72.6, 14

Crystal structure
```
data_Na2Tl2Pd
_cell_length_a 7.2435
_cell_length_b 7.2435
_cell_length_c 5.1601
_cell_angle_alpha 90.00
_cell_angle_beta 90.00
_cell_angle_gamma 90.00
_space_group_name_H-M_alt 'P 4/m b m'
_space_group_IT_number 127
_space_group_name_Hall '-P 4 2ab'
loop_
_atom_site_label
_atom_site_fract_x
_atom_site_fract_y
_atom_site_fract_z
Na1 0.1727 0.3273 0.0000
Tl1 0.1507 0.6507 0.5000
Pd1 0.0000 0.0000 0.5000
```